For Li8Mn3Fe5B8O24, a crystal structure in Alexandria, relaxed with PBE+U gives the calculated X-ray powder pattern in this record (λ = 1.5418 Å (Cu Kα)).
Peak positions follow from Bragg's law for the DFT cell and can differ from measured ones.

abc: 5.237 5.965 16.149
angles: 81.50 88.90 88.75
Fractional coordinates of all 48 atoms:
Li: 0.000 0.000 0.000
Li: 0.000 0.497 0.504
Li: 0.310 0.368 0.725
Li: 0.312 0.864 0.223
Li: 0.497 0.748 0.753
Li: 0.499 0.243 0.252
Li: 0.812 0.619 0.971
Li: 0.814 0.107 0.477
Mn: 0.336 0.962 0.405
Mn: 0.830 0.709 0.153
Mn: 0.981 0.396 0.325
Fe: 0.320 0.462 0.905
Fe: 0.488 0.652 0.573
Fe: 0.491 0.152 0.071
Fe: 0.818 0.211 0.655
Fe: 0.990 0.904 0.821
B: 0.329 0.143 0.568
B: 0.331 0.645 0.064
B: 0.481 0.462 0.413
B: 0.481 0.973 0.910
B: 0.828 0.395 0.815
B: 0.831 0.891 0.316
B: 0.979 0.721 0.660
B: 0.982 0.217 0.159
O: 0.070 0.170 0.556
O: 0.071 0.668 0.050
O: 0.239 0.696 0.672
O: 0.242 0.194 0.171
O: 0.332 0.607 0.457
O: 0.334 0.105 0.959
O: 0.358 0.859 0.853
O: 0.364 0.333 0.360
O: 0.445 0.761 0.121
O: 0.450 0.263 0.624
O: 0.477 0.008 0.522
O: 0.482 0.511 0.017
O: 0.568 0.421 0.805
O: 0.572 0.914 0.302
O: 0.740 0.441 0.427
O: 0.741 0.948 0.921
O: 0.831 0.853 0.709
O: 0.832 0.349 0.207
O: 0.858 0.608 0.603
O: 0.861 0.101 0.102
O: 0.946 0.009 0.374
O: 0.953 0.510 0.872
O: 0.975 0.262 0.767
O: 0.983 0.756 0.270

Principal peaks in the range 2θ from 10° to 80°, sorted by position:
| 2θ/deg | I (rel.) | (hkl) |
| --- | --- | --- |
| 20.4 | 85 | 1 0 -2 |
| 20.8 | 26 | 0 1 3 |
| 22.3 | 33 | 0 0 4 |
| 22.6 | 64 | 1 1 1 |
| 33.9 | 100 | 0 2 -2 |
| 34.1 | 31 | 1 1 5 |
| 34.8 | 28 | -1 1 5 |
| 40.9 | 55 | 2 0 4 |